# 1
This entry pairs a crystal structure of PdC4S4I2N8 with its simulated PXRD pattern. Radiation: CuKα. Structure: a structure optimized by DFT (GGA-PBE).

The 10 most intense peaks (15 to 90 degrees two-theta), in order of rising 2θ:
d = 4.829 Å, 2θ 18.37, rel. 71, (2 0 -2)
d = 4.657 Å, 2θ 19.06, rel. 46, (2 0 2)
d = 4.590 Å, 2θ 19.34, rel. 100, (0 2 1)
d = 4.069 Å, 2θ 21.84, rel. 71, (3 1 -1)
d = 3.990 Å, 2θ 22.28, rel. 55, (3 1 1)
d = 3.871 Å, 2θ 22.97, rel. 59, (2 2 -1)
d = 3.485 Å, 2θ 25.56, rel. 57, (3 1 2)
d = 3.446 Å, 2θ 25.86, rel. 46, (2 2 -2)
d = 3.194 Å, 2θ 27.93, rel. 81, (1 3 0)
d = 2.957 Å, 2θ 30.23, rel. 62, (2 0 -4)

Crystal structure
Cell lengths 14.1282, 9.8347, 12.8059 Å; angles 90.00, 92.09, 90.00 degrees
Space group C2/c (No. 15)
One atom of each set of equivalent atoms:
Pd (0.2500, 0.2500, 0.0000) x4
C (0.0300, 0.1032, 0.9179) x8
C (0.1829, 0.3414, 0.2140) x8
S (0.1182, 0.0245, 0.0067) x8
S (0.1388, 0.3098, 0.8663) x8
I (0.0625, 0.3617, 0.3908) x8
N (0.0550, 0.2042, 0.8547) x8
N (0.0600, 0.0696, 0.5859) x8
N (0.1858, 0.3350, 0.3127) x8
N (0.1945, 0.3560, 0.1215) x8


# 2
This entry pairs a crystal structure of NbBOs with its simulated PXRD pattern. Radiation: CuKα. Structure: a structure optimized by DFT (GGA-PBE).

The 10 most intense peaks (15 to 90 degrees two-theta), in order of rising 2θ:
d = 2.899 Å, 2θ 30.84, rel. 21, (0 2 1)
d = 2.835 Å, 2θ 31.55, rel. 13, (3 2 0)
d = 2.763 Å, 2θ 32.40, rel. 17, (1 2 1)
d = 2.537 Å, 2θ 35.38, rel. 13, (1 6 0)
d = 2.312 Å, 2θ 38.95, rel. 18, (2 3 1)
d = 2.285 Å, 2θ 39.44, rel. 43, (2 6 0)
d = 2.254 Å, 2θ 40.00, rel. 17, (4 1 0)
d = 2.157 Å, 2θ 41.88, rel. 100, (1 5 1)
d = 1.558 Å, 2θ 59.31, rel. 15, (0 0 2)
d = 1.287 Å, 2θ 73.59, rel. 18, (2 6 2)

Crystal structure
Cell lengths 9.1097, 15.8469, 3.1164 Å; angles 90.00, 90.00, 90.00 degrees
Space group Pbam (No. 55)
One atom of each set of equivalent atoms:
Nb (0.0165, 0.0934, 0.0000) x4
Nb (0.1868, 0.7026, 0.0000) x4
Nb (0.1991, 0.4958, 0.0000) x4
B (0.1071, 0.9968, 0.5000) x4
B (0.1108, 0.3324, 0.0000) x4
B (0.2156, 0.0982, 0.5000) x4
Os (0.0152, 0.5942, 0.5000) x4
Os (0.0616, 0.2348, 0.5000) x4
Os (0.2186, 0.8555, 0.5000) x4